# 1
The following is a computed powder diffractogram of Rb3AgAu. It was derived from a crystal structure in Alexandria, relaxed with PBE, using Cu Kα, 1.54184 Å.

Atomic structure:
```
Rb3AgAu
1.0
5.323 0.000 0.000
0.000 10.411 0.000
0.000 0.000 7.869
Rb Ag Au
6 2 2
Direct
0.250 0.048 0.237
0.250 0.250 0.745
0.250 0.452 0.237
0.750 0.548 0.763
0.750 0.750 0.255
0.750 0.952 0.763
0.250 0.750 0.578
0.750 0.250 0.422
0.250 0.750 0.944
0.750 0.250 0.056
```

Most intense lines, 2θ from 10° to 90°, by angle:
Position (°2θ)  I_rel
17.03  36
18.72  26
26.49  100
28.44  24
29.51  76
30.76  36
33.68  35
43.24  27
52.62  27
55.93  37

***

# 2
The following is a computed powder diffractogram of Li4Mg2Cd. It was derived from a crystal structure in Alexandria, relaxed with PBE, using Cu Kα, 1.54184 Å.

Atomic structure:
```
Li4Mg2Cd
1.0
0.000 4.193 4.421
4.012 0.000 4.421
4.012 4.193 0.000
Li Mg Cd
4 2 1
Direct
0.204 0.796 0.204
0.271 0.679 0.729
0.679 0.271 0.321
0.796 0.204 0.796
0.239 0.239 0.261
0.739 0.739 0.761
0.741 0.741 0.259
```

Most intense lines, 2θ from 10° to 90°, by angle:
Position (°2θ)  I_rel
18.30  100
20.09  33
30.85  24
34.13  22
35.49  19
36.71  18
37.09  43
46.16  9
52.03  10
57.02  9

***

# 3
The following is a computed powder diffractogram of TmBeSi2Ir. It was derived from a crystal structure in Alexandria, relaxed with PBE, using Cu Kα, 1.54184 Å.

Atomic structure:
```
TmBeSi2Ir
1.0
-1.928 1.928 5.158
1.928 -1.928 5.158
1.928 1.928 -5.158
Tm Be Si Ir
1 1 2 1
Direct
0.000 0.000 0.000
0.250 0.750 0.500
0.385 0.385 0.000
0.615 0.615 0.000
0.750 0.250 0.500
```

Most intense lines, 2θ from 10° to 90°, by angle:
Position (°2θ)  I_rel
24.65  100
34.78  20
34.96  62
37.31  98
47.14  32
50.15  25
53.91  25
60.02  27
71.28  18
81.04  21